1.
Pm2PrY5Tm: calculated PXRD pattern (CuKα), based on a structure optimized by DFT (PBE).

Cell and atoms:
abc: 8.6184 8.6184 15.8672
angles: 90.00 90.00 90.00
Space group I4/mcm (No. 140)
Unique sites:
Pm  0.1187  0.3813  0.0000 x8
Pr  0.0000  0.5000  0.2500 x4
Y  0.0000  0.0000  0.0000 x4
Y  0.2074  0.2926  0.3614 x16
Tm  0.0000  0.0000  0.2500 x4

Main lines, sorted by position (10 to 80 degrees two-theta):
hkl  2θ (°)  d [Å]  I/Imax
2 1 3  28.7  3.115  58
2 2 0  29.3  3.047  49
2 0 4  30.6  2.919  100
3 1 0  32.9  2.725  16
2 1 5  36.7  2.450  16
3 2 1  38.1  2.364  21
4 0 2  43.5  2.079  22
0 0 8  45.7  1.983  15
4 2 4  52.8  1.733  22
2 2 8  55.3  1.662  13

2.
NaAl6Si2: calculated PXRD pattern (CuKα), based on a structure optimized by DFT (PBE).

Cell and atoms:
abc: 4.1167 4.1167 9.4394
angles: 90.00 90.00 90.00
Space group P4/mmm (No. 123)
Unique sites:
Na  0.0000  0.0000  0.0000 x1
Al  0.0000  0.0000  0.5000 x1
Al  0.0000  0.5000  0.2918 x4
Al  0.5000  0.5000  0.5000 x1
Si  0.5000  0.5000  0.1268 x2

Main lines, sorted by position (10 to 80 degrees two-theta):
hkl  2θ (°)  d [Å]  I/Imax
1 0 3  35.9  2.500  15
1 1 2  36.3  2.478  100
1 1 3  42.3  2.137  48
2 0 0  44.0  2.058  58
1 0 4  44.2  2.047  13
0 0 5  48.2  1.888  11
2 2 0  64.0  1.455  18
2 0 5  67.3  1.391  17
3 1 2  75.8  1.255  22
3 1 3  79.7  1.203  15

3.
SmGa5Rh6: calculated PXRD pattern (CuKα), based on a structure optimized by DFT (PBE).

Cell and atoms:
abc: 4.3258 6.4573 6.8545
angles: 90.00 108.31 90.00
Space group P2/m (No. 10)
Unique sites:
Sm  0.0000  0.0000  0.0000 x1
Ga  0.0000  0.5000  0.0000 x1
Ga  0.3299  0.0000  0.6598 x2
Ga  0.3343  0.5000  0.6693 x2
Rh  0.1740  0.2622  0.3477 x4
Rh  0.5000  0.2772  0.0000 x2

Main lines, sorted by position (10 to 80 degrees two-theta):
hkl  2θ (°)  d [Å]  I/Imax
1 1 -1  25.7  3.464  3
1 1 1  32.3  2.768  3
1 2 1  40.6  2.222  100
0 0 3  41.6  2.169  23
2 0 -1  41.8  2.163  24
0 4 0  57.1  1.614  8
2 0 2  60.4  1.532  15
2 4 -1  73.1  1.294  15
1 2 4  75.3  1.262  15
3 2 0  75.5  1.260  16

4.
Sc6SbSe2S3: calculated PXRD pattern (CuKα), based on a structure optimized by DFT (PBE).

Cell and atoms:
abc: 16.7747 3.7941 7.7469
angles: 90.00 104.30 90.00
Space group C2/m (No. 12)
Unique sites:
Sc  0.0058  0.0000  0.2265 x4
Sc  0.1613  0.5000  0.0968 x4
Sc  0.1756  0.5000  0.5656 x4
Sb  0.0000  0.5000  0.5000 x2
Se  0.1680  0.0000  0.8333 x4
S  0.0000  0.5000  0.0000 x2
S  0.1660  0.0000  0.3289 x4

Main lines, sorted by position (10 to 80 degrees two-theta):
hkl  2θ (°)  d [Å]  I/Imax
1 1 1  27.5  3.247  15
6 0 0  33.1  2.710  100
5 1 -1  36.1  2.488  9
2 0 -4  46.9  1.936  11
7 1 -2  47.2  1.927  21
5 1 2  47.7  1.905  23
0 2 0  48.0  1.897  11
6 2 0  59.5  1.554  11
12 0 0  69.4  1.355  9
11 1 2  79.4  1.206  9